Record 1
Calculated powder diffractogram of Zr3NbAl12 for Cu Ka, from DFT lattice parameters and positions (PBE).

Structure:
Cell lengths 3.981, 3.981, 17.193 Å; angles 90.00, 90.00, 90.00 degrees
Space group P4mm (No. 99)
Asymmetric unit:
1 Zr 0.000 0.000 0.000 [1 per cell]
2 Zr 0.000 0.000 0.242 [1 per cell]
3 Zr 0.500 0.500 0.735 [1 per cell]
4 Nb 0.500 0.500 0.500 [1 per cell]
5 Al 0.000 0.000 0.493 [1 per cell]
6 Al 0.000 0.000 0.743 [1 per cell]
7 Al 0.000 0.500 0.120 [2 per cell]
8 Al 0.000 0.500 0.373 [2 per cell]
9 Al 0.000 0.500 0.616 [2 per cell]
10 Al 0.000 0.500 0.868 [2 per cell]
11 Al 0.500 0.500 0.243 [1 per cell]
12 Al 0.500 0.500 0.994 [1 per cell]

Main lines, by angle (2θ from 10° to 90°):
20.7°, intensity 18, (0 0 4); 22.9°, intensity 31, (1 0 1); 27.3°, intensity 13, (1 0 3); 31.8°, intensity 12, (1 1 0); 34.5°, intensity 15, (1 0 5); 38.2°, intensity 100, (1 1 4); 42.0°, intensity 18, (0 0 8); 45.6°, intensity 30, (2 0 0); 63.7°, intensity 21, (2 0 8); 79.3°, intensity 23, (3 1 4)

---

Record 2
Calculated powder diffractogram of Zr4NbAl3 for Cu Ka, from DFT lattice parameters and positions (PBE).

Structure:
Cell lengths 15.474, 5.332, 10.921 Å; angles 90.00, 134.81, 90.00 degrees
Space group C2/m (No. 12)
Asymmetric unit:
1 Zr 0.000 0.250 0.000 [4 per cell]
2 Zr 0.077 0.000 0.357 [4 per cell]
3 Zr 0.081 0.500 0.803 [4 per cell]
4 Zr 0.219 0.500 0.645 [4 per cell]
5 Nb 0.213 0.000 0.790 [4 per cell]
6 Al 0.000 0.248 0.500 [4 per cell]
7 Al 0.166 0.000 0.999 [4 per cell]
8 Al 0.167 0.500 0.327 [4 per cell]

Main lines, by angle (2θ from 10° to 90°):
24.7°, intensity 34, (1 1 1); 33.6°, intensity 30, (0 2 0); 34.0°, intensity 100, (5 1 -3); 36.6°, intensity 38, (2 0 2); 36.8°, intensity 35, (6 0 -4); 37.5°, intensity 42, (2 2 0); 37.8°, intensity 68, (5 1 -1); 37.9°, intensity 67, (3 1 -4); 41.1°, intensity 65, (0 2 2); 60.3°, intensity 26, (1 3 -3)

---

Record 3
Calculated powder diffractogram of ZrNbAl6 for Cu Ka, from DFT lattice parameters and positions (PBE).

Structure:
Cell lengths 3.901, 3.901, 8.878 Å; angles 90.00, 90.00, 90.00 degrees
Space group P4/mmm (No. 123)
Asymmetric unit:
1 Zr 0.000 0.000 0.000 [1 per cell]
2 Nb 0.500 0.500 0.500 [1 per cell]
3 Al 0.000 0.000 0.500 [1 per cell]
4 Al 0.000 0.500 0.256 [4 per cell]
5 Al 0.500 0.500 0.000 [1 per cell]

Main lines, by angle (2θ from 10° to 90°):
20.0°, intensity 20, (0 0 2); 24.9°, intensity 47, (1 0 1); 32.5°, intensity 12, (1 1 0); 38.2°, intensity 15, (1 0 3); 38.4°, intensity 100, (1 1 2); 40.6°, intensity 21, (0 0 4); 46.6°, intensity 28, (2 0 0); 63.5°, intensity 22, (2 0 4); 72.5°, intensity 15, (1 1 6); 80.9°, intensity 22, (3 1 2)

---

Record 4
Calculated powder diffractogram of NdAl2 for Cu Ka, from DFT lattice parameters and positions (PBE).

Structure:
Cell lengths 8.044, 8.044, 8.044 Å; angles 90.00, 90.00, 90.00 degrees
Space group Fd-3m (No. 227, origin choice 2)
Asymmetric unit:
1 Nd 0.125 0.125 0.125 [8 per cell]
2 Al 0.000 0.000 0.500 [16 per cell]

Main lines, by angle (2θ from 10° to 90°):
19.1°, intensity 58, (1 1 1); 31.5°, intensity 97, (2 2 0); 37.1°, intensity 100, (3 1 1); 49.4°, intensity 15, (3 3 1); 56.0°, intensity 38, (4 2 2); 59.7°, intensity 33, (5 1 1); 65.7°, intensity 22, (4 4 0); 69.1°, intensity 11, (5 3 1); 74.6°, intensity 16, (6 2 0); 77.9°, intensity 11, (5 3 3)